(1)
This entry pairs a crystal structure of Sb2SeBr with its simulated powder diffraction line list. Radiation: Cu Kα (weighted mean of Kα1 and Kα2). Structure: a PBE-relaxed structure.

Principal peaks in the range 5° ≤ 2θ ≤ 70°, in order of rising 2θ:
d [Å]  I (rel.)  index
3.437  86  1 0 0
2.906  100  0 1 2
2.280  28  0 2 0
2.229  47  1 1 -2
2.209  46  1 1 2
1.900  31  1 2 0
1.885  10  0 0 4
1.718  11  2 0 0
1.485  12  2 1 -2
1.473  13  2 1 2
1.410  11  0 3 2
1.372  11  2 2 0

Cell and atoms:
```
data_Sb2SeBr
_cell_length_a 3.4368
_cell_length_b 4.5606
_cell_length_c 7.5425
_cell_angle_alpha 90.00
_cell_angle_beta 90.69
_cell_angle_gamma 90.00
_space_group_name_H-M_alt 'P 1 2/m 1'
_space_group_IT_number 10
_space_group_name_Hall '-P 2y'
loop_
_atom_site_label
_atom_site_type_symbol
_atom_site_fract_x
_atom_site_fract_y
_atom_site_fract_z
_atom_site_occupancy
Sb1 Sb 0.0027 0.0000 0.2187 1
Se1 Se 0.0000 0.5000 0.0000 1
Br1 Br 0.0000 0.5000 0.5000 1
```

(2)
This entry pairs a crystal structure of CaHgS2O8 with its simulated powder diffraction line list. Radiation: Cu Kα (weighted mean of Kα1 and Kα2). Structure: a PBE-relaxed structure.

Principal peaks in the range 5° ≤ 2θ ≤ 70°, in order of rising 2θ:
d [Å]  I (rel.)  index
7.347  15  0 0 1
4.548  67  1 0 0
3.867  100  0 1 1
2.858  64  1 0 2
2.626  41  1 1 0
2.172  17  0 2 1
2.156  12  1 0 3
2.136  30  2 -1 2
1.934  31  0 2 2
1.703  13  0 1 4
1.674  18  3 -2 1
1.557  18  2 1 2

Cell and atoms:
```
data_CaHgS2O8
_cell_length_a 5.2516
_cell_length_b 5.2516
_cell_length_c 7.3469
_cell_angle_alpha 90.00
_cell_angle_beta 90.00
_cell_angle_gamma 120.00
_space_group_name_H-M_alt 'P -3'
_space_group_IT_number 147
_space_group_name_Hall '-P 3'
loop_
_atom_site_label
_atom_site_type_symbol
_atom_site_fract_x
_atom_site_fract_y
_atom_site_fract_z
_atom_site_occupancy
Ca1 Ca 0.0000 0.0000 0.0000 1
Hg1 Hg 0.0000 0.0000 0.5000 1
S1 S 0.3333 0.6667 0.8028 1
O1 O 0.1715 0.3544 0.7384 1
O2 O 0.3333 0.6667 0.0033 1
```

(3)
This entry pairs a crystal structure of Ag4RhF7 with its simulated powder diffraction line list. Radiation: Cu Kα (weighted mean of Kα1 and Kα2). Structure: a PBE-relaxed structure.

Principal peaks in the range 5° ≤ 2θ ≤ 70°, in order of rising 2θ:
d [Å]  I (rel.)  index
3.964  37  4 0 -1
3.375  63  2 0 -2
3.175  74  1 1 1
3.148  45  3 1 0
3.090  100  3 1 -1
2.893  52  4 0 1
2.740  30  6 0 -1
2.611  49  3 1 1
2.354  33  1 1 2
1.986  42  0 2 0
1.932  64  7 1 0
1.638  29  4 2 1

Cell and atoms:
```
data_Ag4RhF7
_cell_length_a 16.4769
_cell_length_b 3.9728
_cell_length_c 6.7674
_cell_angle_alpha 90.00
_cell_angle_beta 110.08
_cell_angle_gamma 90.00
_space_group_name_H-M_alt 'C 1 2/m 1'
_space_group_IT_number 12
_space_group_name_Hall '-C 2y'
loop_
_atom_site_label
_atom_site_type_symbol
_atom_site_fract_x
_atom_site_fract_y
_atom_site_fract_z
_atom_site_occupancy
Ag1 Ag 0.0784 0.0000 0.1808 1
Ag2 Ag 0.2115 0.0000 0.7582 1
Rh1 Rh 0.0000 0.5000 0.5000 1
F1 F 0.0000 0.0000 0.5000 1
F2 F 0.0077 0.5000 0.8027 1
F3 F 0.1287 0.5000 0.5644 1
F4 F 0.2021 0.0000 0.1194 1
```

(4)
This entry pairs a crystal structure of Al2CuIr with its simulated powder diffraction line list. Radiation: Cu Kα (weighted mean of Kα1 and Kα2). Structure: a PBE-relaxed structure.

Principal peaks in the range 5° ≤ 2θ ≤ 70°, in order of rising 2θ:
d [Å]  I (rel.)  index
4.063  26  0 2 0
3.340  100  1 1 1
3.214  25  0 2 1
2.245  45  1 1 2
2.206  41  0 2 2
2.178  32  1 3 1
2.164  69  2 2 0
2.032  29  0 4 0
1.832  23  2 0 2
1.769  22  1 3 2
1.590  16  3 1 1
1.361  29  2 4 2

Cell and atoms:
```
data_Al2CuIr
_cell_length_a 5.1137
_cell_length_b 8.1269
_cell_length_c 5.2525
_cell_angle_alpha 90.00
_cell_angle_beta 90.00
_cell_angle_gamma 90.00
_space_group_name_H-M_alt 'C m m e'
_space_group_IT_number 67
_space_group_name_Hall '-C 2a 2'
loop_
_atom_site_label
_atom_site_type_symbol
_atom_site_fract_x
_atom_site_fract_y
_atom_site_fract_z
_atom_site_occupancy
Al1 Al 0.0000 0.2500 0.1718 1
Al2 Al 0.2500 0.0000 0.5000 1
Cu1 Cu 0.2500 0.0000 0.0000 1
Ir1 Ir 0.0000 0.2500 0.6804 1
```

(5)
This entry pairs a crystal structure of Tm2AlRh3 with its simulated powder diffraction line list. Radiation: Cu Kα (weighted mean of Kα1 and Kα2). Structure: a PBE-relaxed structure.

Principal peaks in the range 5° ≤ 2θ ≤ 70°, in order of rising 2θ:
d [Å]  I (rel.)  index
4.482  16  1 0 1
2.802  38  1 1 0
2.502  71  1 0 4
2.376  97  0 2 1
2.274  100  1 1 3
2.241  31  2 0 2
2.105  26  0 1 5
1.553  33  2 1 4
1.494  27  3 0 3
1.443  15  1 2 5
1.401  31  2 2 0
1.375  22  0 2 7

Cell and atoms:
```
data_Tm2AlRh3
_cell_length_a 5.6044
_cell_length_b 5.6044
_cell_length_c 11.6792
_cell_angle_alpha 90.00
_cell_angle_beta 90.00
_cell_angle_gamma 120.00
_space_group_name_H-M_alt 'R -3 m'
_space_group_IT_number 166
_space_group_name_Hall '-R 3 2"'
loop_
_atom_site_label
_atom_site_type_symbol
_atom_site_fract_x
_atom_site_fract_y
_atom_site_fract_z
_atom_site_occupancy
Tm1 Tm 0.0000 0.0000 0.1311 1
Al1 Al 0.0000 0.0000 0.5000 1
Rh1 Rh 0.0000 0.5000 0.0000 1
```

(6)
This entry pairs a crystal structure of Cd3HCl3 with its simulated powder diffraction line list. Radiation: Cu Kα (weighted mean of Kα1 and Kα2). Structure: a PBE-relaxed structure.

Principal peaks in the range 5° ≤ 2θ ≤ 70°, in order of rising 2θ:
d [Å]  I (rel.)  index
4.984  100  1 1 0
4.405  16  1 0 -1
4.116  30  1 -1 1
4.093  51  1 0 2
3.500  55  0 1 -2
2.983  36  1 2 2
2.907  24  2 1 2
2.884  26  0 2 2
2.850  18  -1 1 2
2.678  30  2 -1 0
2.196  29  1 1 -3
2.086  20  1 -2 3

Cell and atoms:
```
data_Cd3HCl3
_cell_length_a 6.4793
_cell_length_b 7.2645
_cell_length_c 9.0119
_cell_angle_alpha 81.27
_cell_angle_beta 72.19
_cell_angle_gamma 79.92
_space_group_name_H-M_alt 'P -1'
_space_group_IT_number 2
_space_group_name_Hall '-P 1'
loop_
_atom_site_label
_atom_site_type_symbol
_atom_site_fract_x
_atom_site_fract_y
_atom_site_fract_z
_atom_site_occupancy
Cd1 Cd 0.0418 0.4448 0.2792 1
Cd2 Cd 0.3106 0.0542 0.6035 1
Cd3 Cd 0.3490 0.1496 0.0383 1
H1 H 0.3087 0.3739 0.1504 1
Cl1 Cl 0.0637 0.7349 0.4403 1
Cl2 Cl 0.0932 0.8445 0.8409 1
Cl3 Cl 0.3013 0.3530 0.7609 1
```

(7)
This entry pairs a crystal structure of CaAg4Ru4O12 with its simulated powder diffraction line list. Radiation: Cu Kα (weighted mean of Kα1 and Kα2). Structure: a PBE-relaxed structure.

Principal peaks in the range 5° ≤ 2θ ≤ 70°, in order of rising 2θ:
d [Å]  I (rel.)  index
5.267  51  0 0 2
3.157  57  1 0 3
3.136  44  1 2 1
3.022  95  0 2 2
2.976  100  2 0 2
2.579  52  2 2 0
2.399  35  1 2 3
2.345  32  3 0 1
2.144  26  0 2 4
1.843  48  0 4 0
1.747  27  3 2 3
1.568  38  2 4 2

Cell and atoms:
```
data_CaAg4Ru4O12
_cell_length_a 7.2135
_cell_length_b 7.3799
_cell_length_c 10.5338
_cell_angle_alpha 90.00
_cell_angle_beta 90.00
_cell_angle_gamma 90.00
_space_group_name_H-M_alt 'I m m 2'
_space_group_IT_number 44
_space_group_name_Hall 'I 2 -2'
loop_
_atom_site_label
_atom_site_type_symbol
_atom_site_fract_x
_atom_site_fract_y
_atom_site_fract_z
_atom_site_occupancy
Ca1 Ca 0.0000 0.0000 0.0000 1
Ag1 Ag 0.0000 0.3218 0.8460 1
Ag2 Ag 0.1970 0.0000 0.2496 1
Ru1 Ru 0.0000 0.2541 0.4968 1
Ru2 Ru 0.2421 0.5000 0.2289 1
O1 O 0.0000 0.0000 0.4322 1
O2 O 0.0000 0.0000 0.7942 1
O3 O 0.0000 0.5000 0.1901 1
O4 O 0.0000 0.5000 0.5548 1
O5 O 0.1996 0.2021 0.6158 1
O6 O 0.2080 0.3092 0.3701 1
```

(8)
This entry pairs a crystal structure of HoThCd14 with its simulated powder diffraction line list. Radiation: Cu Kα (weighted mean of Kα1 and Kα2). Structure: a PBE-relaxed structure.

Principal peaks in the range 5° ≤ 2θ ≤ 70°, in order of rising 2θ:
d [Å]  I (rel.)  index
4.712  1  1 1 0
4.121  2  1 1 1
3.102  2  2 0 1
2.834  1  0 0 3
2.622  100  2 0 2
2.356  37  2 2 0
2.126  13  0 0 4
1.812  1  2 2 3
1.666  12  4 0 0
1.578  20  2 2 4
1.515  1  2 0 5
1.406  27  4 2 2

Cell and atoms:
```
data_HoThCd14
_cell_length_a 6.6634
_cell_length_b 6.6634
_cell_length_c 8.5029
_cell_angle_alpha 90.00
_cell_angle_beta 90.00
_cell_angle_gamma 90.00
_space_group_name_H-M_alt 'P 4/m m m'
_space_group_IT_number 123
_space_group_name_Hall '-P 4 2'
loop_
_atom_site_label
_atom_site_type_symbol
_atom_site_fract_x
_atom_site_fract_y
_atom_site_fract_z
_atom_site_occupancy
Ho1 Ho 0.0000 0.0000 0.0000 1
Th1 Th 0.5000 0.5000 0.0000 1
Cd1 Cd 0.0000 0.0000 0.5000 1
Cd2 Cd 0.0000 0.5000 0.0000 1
Cd3 Cd 0.0000 0.5000 0.5000 1
Cd4 Cd 0.2454 0.2454 0.2616 1
Cd5 Cd 0.5000 0.5000 0.5000 1
```

(9)
This entry pairs a crystal structure of ScGaSeN2 with its simulated powder diffraction line list. Radiation: Cu Kα (weighted mean of Kα1 and Kα2). Structure: a PBE-relaxed structure.

Principal peaks in the range 5° ≤ 2θ ≤ 70°, in order of rising 2θ:
d [Å]  I (rel.)  index
5.675  51  0 0 1
4.065  24  1 0 0
3.305  15  1 0 1
2.875  100  1 1 0
2.837  86  0 0 2
2.564  93  1 1 1
2.033  62  2 0 0
2.019  73  1 1 2
1.914  15  2 0 1
1.652  61  2 0 2
1.580  19  1 1 3
1.437  19  2 2 0

Cell and atoms:
```
data_ScGaSeN2
_cell_length_a 4.0654
_cell_length_b 4.0654
_cell_length_c 5.6750
_cell_angle_alpha 90.00
_cell_angle_beta 90.00
_cell_angle_gamma 90.00
_space_group_name_H-M_alt 'P 4/m m m'
_space_group_IT_number 123
_space_group_name_Hall '-P 4 2'
loop_
_atom_site_label
_atom_site_type_symbol
_atom_site_fract_x
_atom_site_fract_y
_atom_site_fract_z
_atom_site_occupancy
Sc1 Sc 0.0000 0.0000 0.0000 1
Ga1 Ga 0.5000 0.5000 0.5000 1
Se1 Se 0.0000 0.0000 0.5000 1
N1 N 0.0000 0.5000 0.0000 1
```

(10)
This entry pairs a crystal structure of CsNaTl4Pb2 with its simulated powder diffraction line list. Radiation: Cu Kα (weighted mean of Kα1 and Kα2). Structure: a PBE-relaxed structure.

Principal peaks in the range 5° ≤ 2θ ≤ 70°, in order of rising 2θ:
d [Å]  I (rel.)  index
10.754  14  0 0 3
5.377  16  0 0 6
3.829  26  0 1 5
3.076  69  0 1 8
2.747  100  1 1 0
2.497  35  0 1 11
2.446  14  1 1 6
2.049  22  2 0 8
1.847  15  2 0 11
1.642  22  1 2 8
1.586  20  3 0 0
1.533  16  1 2 11

Cell and atoms:
```
data_CsNaTl4Pb2
_cell_length_a 5.4933
_cell_length_b 5.4933
_cell_length_c 32.2621
_cell_angle_alpha 90.00
_cell_angle_beta 90.00
_cell_angle_gamma 120.00
_space_group_name_H-M_alt 'R -3 m'
_space_group_IT_number 166
_space_group_name_Hall '-R 3 2"'
loop_
_atom_site_label
_atom_site_type_symbol
_atom_site_fract_x
_atom_site_fract_y
_atom_site_fract_z
_atom_site_occupancy
Cs1 Cs 0.0000 0.0000 0.0000 1
Na1 Na 0.0000 0.0000 0.5000 1
Tl1 Tl 0.0000 0.0000 0.1322 1
Tl2 Tl 0.0000 0.0000 0.4000 1
Pb1 Pb 0.0000 0.0000 0.2369 1
```

(11)
This entry pairs a crystal structure of Li2In5Au with its simulated powder diffraction line list. Radiation: Cu Kα (weighted mean of Kα1 and Kα2). Structure: a PBE-relaxed structure.

Principal peaks in the range 5° ≤ 2θ ≤ 70°, in order of rising 2θ:
d [Å]  I (rel.)  index
4.311  21  0 0 4
3.832  82  1 1 1
2.904  40  1 1 4
2.874  28  0 0 6
2.592  60  1 1 5
2.482  100  1 3 2
2.245  43  0 4 3
2.221  19  1 3 4
2.199  25  0 2 7
2.147  35  2 0 0
1.552  26  2 4 3
1.536  16  2 2 7

Cell and atoms:
```
data_Li2In5Au
_cell_length_a 4.2940
_cell_length_b 9.7527
_cell_length_c 17.2427
_cell_angle_alpha 90.00
_cell_angle_beta 90.00
_cell_angle_gamma 90.00
_space_group_name_H-M_alt 'C m c m'
_space_group_IT_number 63
_space_group_name_Hall '-C 2c 2'
loop_
_atom_site_label
_atom_site_type_symbol
_atom_site_fract_x
_atom_site_fract_y
_atom_site_fract_z
_atom_site_occupancy
Li1 Li 0.0000 0.2455 0.1604 1
In1 In 0.0000 0.0478 0.6002 1
In2 In 0.0000 0.3478 0.5389 1
In3 In 0.0000 0.4619 0.7500 1
Au1 Au 0.0000 0.1706 0.7500 1
```